Entry 1:
Li3Mn2Si2O8: simulated PXRD pattern (CuKα), based on the PBE+U geometry in the Materials Project.
Peak positions follow from Bragg's law for the DFT cell and can differ from measured ones.

Top 10 peaks for 15 to 90 degrees two-theta, by intensity:
h k l  2θ (°)  d_spacing  I (rel.)
1 2 0  24.1  3.697  1000
0 2 0  16.5  5.387  503
0 2 2  32.7  2.739  487
0 0 2  28.0  3.182  451
2 0 0  35.3  2.541  419
0 4 0  33.3  2.694  328
0 6 2  59.1  1.564  288
1 3 0  30.5  2.933  273
1 3 -2  41.8  2.160  153
0 0 4  58.0  1.591  145

Atomic structure:
Cell lengths 5.0830, 10.7741, 6.3631 Å; angles 90.00, 90.32, 90.00 degrees
Atoms (fractional coordinates):
Li (0.0662, 0.0000, 0.2503)
Li (0.0825, 0.9935, 0.7496)
Li (0.4282, 0.8243, 0.2532)
Li (0.5718, 0.3243, 0.7468)
Li (0.9175, 0.4935, 0.2504)
Li (0.9338, 0.5000, 0.7497)
Mn (0.0814, 0.2543, 0.4892)
Mn (0.4350, 0.5710, 0.0044)
Mn (0.5650, 0.0710, 0.9956)
Mn (0.9186, 0.7543, 0.5108)
Si (0.0809, 0.2442, 0.9929)
Si (0.4186, 0.5806, 0.4994)
Si (0.5814, 0.0806, 0.5006)
Si (0.9191, 0.7442, 0.0071)
O (0.0035, 0.3207, 0.2051)
O (0.0301, 0.5988, 0.0002)
O (0.0305, 0.8176, 0.2188)
O (0.0938, 0.5764, 0.5013)
O (0.4058, 0.2353, 0.9760)
O (0.4683, 0.0082, 0.2864)
O (0.4715, 0.0111, 0.7159)
O (0.4736, 0.2245, 0.5047)
O (0.5264, 0.7245, 0.4953)
O (0.5285, 0.5111, 0.2841)
O (0.5317, 0.5082, 0.7136)
O (0.5942, 0.7353, 0.0240)
O (0.9062, 0.0764, 0.4987)
O (0.9695, 0.3176, 0.7812)
O (0.9699, 0.0988, 0.9998)
O (0.9965, 0.8207, 0.7949)



Entry 2:
Li12Mn2Fe3O16: simulated PXRD pattern (CuKα), based on the PBE+U geometry in the Materials Project.
Peak positions follow from Bragg's law for the DFT cell and can differ from measured ones.

Top 10 peaks for 15 to 90 degrees two-theta, by intensity:
h k l  2θ (°)  d_spacing  I (rel.)
0 1 1  19.3  4.592  1000
0 1 0  17.3  5.127  580
1 1 1  19.7  4.498  506
1 0 -1  19.6  4.531  312
0 1 -2  25.6  3.478  301
2 1 -1  32.1  2.786  282
0 1 2  24.9  3.583  265
1 0 -2  25.2  3.533  258
2 2 3  45.2  2.005  250
0 1 -3  33.1  2.704  250

Atomic structure:
Cell lengths 5.8172, 5.8586, 9.7353 Å; angles 88.38, 89.72, 61.11 degrees
Atoms (fractional coordinates):
Li (0.0000, 0.0000, 0.0000)
Li (0.0037, 0.4889, 0.0179)
Li (0.0566, 0.4438, 0.2724)
Li (0.1643, 0.6670, 0.7862)
Li (0.2384, 0.0992, 0.4820)
Li (0.4882, 0.4953, 0.0189)
Li (0.5348, 0.4510, 0.2699)
Li (0.5578, 0.9167, 0.2738)
Li (0.6562, 0.7229, 0.5234)
Li (0.6686, 0.6660, 0.7772)
Li (0.6897, 0.1081, 0.4812)
Li (0.8614, 0.3210, 0.5537)
Mn (0.2139, 0.6077, 0.5107)
Mn (0.5122, 0.9799, 0.0222)
Fe (0.0327, 0.9582, 0.2564)
Fe (0.1883, 0.1518, 0.7626)
Fe (0.6792, 0.1551, 0.7605)
O (0.0264, 0.9806, 0.6414)
O (0.0373, 0.4770, 0.6367)
O (0.1641, 0.6723, 0.1464)
O (0.1988, 0.1261, 0.1369)
O (0.3393, 0.8544, 0.8921)
O (0.3531, 0.3056, 0.8925)
O (0.3551, 0.3208, 0.4023)
O (0.3626, 0.7774, 0.3947)
O (0.5176, 0.0011, 0.6533)
O (0.5251, 0.4734, 0.6330)
O (0.6626, 0.6682, 0.1196)
O (0.6794, 0.1228, 0.1384)
O (0.8107, 0.8579, 0.8910)
O (0.8509, 0.3072, 0.8602)
O (0.8915, 0.2475, 0.3659)
O (0.8982, 0.7779, 0.3955)



Entry 3:
BaNdMnCoO5: simulated PXRD pattern (CuKα), based on the PBE+U geometry in the Materials Project.
Peak positions follow from Bragg's law for the DFT cell and can differ from measured ones.

Top 10 peaks for 15 to 90 degrees two-theta, by intensity:
h k l  2θ (°)  d_spacing  I (rel.)
1 0 2  31.9  2.802  1000
1 1 0  31.8  2.814  423
2 1 2  56.7  1.622  381
2 0 0  45.6  1.990  287
1 1 4  57.0  1.615  204
1 1 2  39.3  2.291  196
1 0 0  22.3  3.980  163
3 0 2  75.6  1.258  153
2 0 4  66.8  1.401  131
0 0 4  46.0  1.972  104

Atomic structure:
Cell lengths 3.9800, 3.9800, 7.8882 Å; angles 90.00, 90.00, 90.00 degrees
Atoms (fractional coordinates):
Ba (0.0000, 0.0000, 0.0000)
Nd (0.0000, 0.0000, 0.5156)
Mn (0.5000, 0.5000, 0.2669)
Co (0.5000, 0.5000, 0.7479)
O (0.0000, 0.5000, 0.3196)
O (0.0000, 0.5000, 0.7017)
O (0.5000, 0.0000, 0.3196)
O (0.5000, 0.0000, 0.7017)
O (0.5000, 0.5000, 0.0124)



Entry 4:
Li2CrP2O7: simulated PXRD pattern (CuKα), based on the PBE+U geometry in the Materials Project.
Peak positions follow from Bragg's law for the DFT cell and can differ from measured ones.

Top 10 peaks for 15 to 90 degrees two-theta, by intensity:
h k l  2θ (°)  d_spacing  I (rel.)
1 0 1  21.5  4.132  1000
0 2 -2  30.7  2.914  329
1 -2 0  30.4  2.944  324
0 1 -2  21.4  4.155  260
1 0 -3  33.8  2.655  241
1 -2 3  38.2  2.358  239
-1 1 1  23.0  3.873  210
1 0 -2  24.7  3.604  204
2 -1 0  32.3  2.771  198
1 1 0  26.2  3.402  194

Atomic structure:
Cell lengths 5.6260, 6.4168, 8.9073 Å; angles 109.42, 94.61, 105.71 degrees
Atoms (fractional coordinates):
Li (0.1475, 0.2689, 0.4560)
Li (0.2878, 0.7175, 0.2680)
Li (0.7122, 0.2825, 0.7320)
Li (0.8525, 0.7311, 0.5440)
Cr (0.1225, 0.1143, 0.8807)
Cr (0.8775, 0.8857, 0.1193)
P (0.2412, 0.6489, 0.9012)
P (0.3816, 0.7955, 0.6210)
P (0.6184, 0.2045, 0.3790)
P (0.7588, 0.3511, 0.0988)
O (0.0652, 0.8048, 0.9221)
O (0.0774, 0.3913, 0.8285)
O (0.1987, 0.9396, 0.6586)
O (0.2751, 0.5908, 0.4595)
O (0.3465, 0.0623, 0.3648)
O (0.3975, 0.6880, 0.7641)
O (0.4277, 0.7166, 0.0547)
O (0.5723, 0.2834, 0.9453)
O (0.6025, 0.3120, 0.2359)
O (0.6535, 0.9377, 0.6352)
O (0.7249, 0.4092, 0.5405)
O (0.8013, 0.0604, 0.3414)
O (0.9226, 0.6087, 0.1715)
O (0.9348, 0.1952, 0.0779)